Starting from a structure optimized by DFT (GGA+U), the X-ray diffraction stick pattern of Mn4InF12 was computed for copper Kα.
Neutral-atom scattering factors, no anomalous dispersion.

Structural model:
abc: 6.9583 6.9583 6.9583
angles: 113.22 107.68 107.58
Element x y z (fractional)
Mn: 0.0000 0.0000 0.5000
Mn: 0.0000 0.5000 0.0000
Mn: 0.5000 0.0000 0.0000
Mn: 0.5000 0.5000 0.5000
In: 0.0000 0.0000 0.0000
F: 0.0010 0.7032 0.2979
F: 0.2219 0.1737 0.3957
F: 0.2219 0.8263 0.0482
F: 0.2227 0.0493 0.8267
F: 0.2227 0.3960 0.1733
F: 0.4053 0.7032 0.7021
F: 0.5947 0.2968 0.2979
F: 0.7773 0.6040 0.8267
F: 0.7773 0.9507 0.1733
F: 0.7781 0.1737 0.9518
F: 0.7781 0.8263 0.6043
F: 0.9990 0.2968 0.7021

Largest 10 diffraction maxima, by angle, 10 to 90 degrees two-theta:
- 2θ 15.25, d 5.810, I 673
- 2θ 15.82, d 5.602, I 1000
- 2θ 21.63, d 4.108, I 402
- 2θ 26.91, d 3.313, I 343
- 2θ 30.78, d 2.905, I 317
- 2θ 31.95, d 2.801, I 708
- 2θ 43.15, d 2.097, I 303
- 2θ 44.09, d 2.054, I 476
- 2θ 55.47, d 1.656, I 387
- 2θ 57.66, d 1.599, I 302

Starting from a structure optimized by DFT (GGA+U), the X-ray diffraction stick pattern of Mn2InF8 was computed for copper Kα.
Neutral-atom scattering factors, no anomalous dispersion.

Structural model:
abc: 6.6427 6.6427 4.0191
angles: 90.00 90.00 120.00
Element x y z (fractional)
Mn: 0.3333 0.6667 0.2515
Mn: 0.6667 0.3333 0.7485
In: 0.0000 0.0000 0.5000
F: 0.1597 0.3213 0.2459
F: 0.1615 0.8403 0.2459
F: 0.3213 0.1615 0.7541
F: 0.3333 0.6667 0.7507
F: 0.6667 0.3333 0.2493
F: 0.6787 0.8385 0.2459
F: 0.8385 0.1597 0.7541
F: 0.8403 0.6787 0.7541

Largest 10 diffraction maxima, by angle, 10 to 90 degrees two-theta:
- 2θ 15.40, d 5.753, I 287
- 2θ 26.84, d 3.321, I 1000
- 2θ 27.06, d 3.295, I 824
- 2θ 35.05, d 2.560, I 261
- 2θ 38.49, d 2.339, I 218
- 2θ 47.55, d 1.912, I 362
- 2θ 47.95, d 1.897, I 208
- 2θ 55.32, d 1.661, I 315
- 2θ 55.81, d 1.647, I 269
- 2θ 62.98, d 1.476, I 205

Starting from a structure optimized by DFT (GGA+U), the X-ray diffraction stick pattern of TiMnInF6 was computed for copper Kα.
Neutral-atom scattering factors, no anomalous dispersion.

Structural model:
abc: 5.6015 5.6015 11.7598
angles: 90.00 90.00 120.00
Element x y z (fractional)
Ti: 0.3333 0.6667 0.2500
Ti: 0.6667 0.3333 0.7500
Mn: 0.3333 0.6667 0.7500
Mn: 0.6667 0.3333 0.2500
In: 0.0000 0.0000 0.0000
In: 0.0000 0.0000 0.5000
F: 0.0207 0.3876 0.1555
F: 0.0207 0.6331 0.3445
F: 0.3669 0.3876 0.3445
F: 0.3669 0.9793 0.1555
F: 0.3876 0.0207 0.6555
F: 0.3876 0.3669 0.8445
F: 0.6124 0.6331 0.1555
F: 0.6124 0.9793 0.3445
F: 0.6331 0.0207 0.8445
F: 0.6331 0.6124 0.6555
F: 0.9793 0.3669 0.6555
F: 0.9793 0.6124 0.8445

Largest 10 diffraction maxima, by angle, 10 to 90 degrees two-theta:
- 2θ 23.78, d 3.742, I 1000
- 2θ 31.95, d 2.801, I 206
- 2θ 35.50, d 2.529, I 98
- 2θ 40.22, d 2.242, I 187
- 2θ 44.69, d 2.028, I 403
- 2θ 50.20, d 1.817, I 96
- 2θ 52.26, d 1.750, I 210
- 2θ 56.95, d 1.617, I 119
- 2θ 60.76, d 1.524, I 88
- 2θ 72.00, d 1.312, I 89

Starting from a structure optimized by DFT (GGA+U), the X-ray diffraction stick pattern of Na2InMoF8 was computed for copper Kα.
Neutral-atom scattering factors, no anomalous dispersion.

Structural model:
abc: 5.1064 6.8342 5.1834
angles: 90.00 92.10 90.00
Element x y z (fractional)
Na: 0.0000 0.2473 0.0000
Na: 0.0000 0.7527 0.0000
In: 0.5000 0.5000 0.5000
Mo: 0.5000 0.0000 0.5000
F: 0.2103 0.0000 0.2117
F: 0.2126 0.5000 0.2154
F: 0.3206 0.2469 0.6779
F: 0.3206 0.7531 0.6779
F: 0.6794 0.2469 0.3221
F: 0.6794 0.7531 0.3221
F: 0.7874 0.5000 0.7846
F: 0.7897 0.0000 0.7883

Largest 10 diffraction maxima, by angle, 10 to 90 degrees two-theta:
- 2θ 17.12, d 5.180, I 856
- 2θ 17.38, d 5.103, I 811
- 2θ 24.03, d 3.704, I 1000
- 2θ 24.94, d 3.571, I 779
- 2θ 31.36, d 2.852, I 511
- 2θ 31.51, d 2.839, I 503
- 2θ 35.75, d 2.511, I 699
- 2θ 47.00, d 1.933, I 371
- 2θ 47.32, d 1.921, I 359
- 2θ 60.03, d 1.541, I 357